The following is a calculated powder diffractogram of Mn2Cu5P4H2O18. It was derived from a DFT-relaxed cell (GGA+U, Alexandria), using Cu Kα (λ = 1.5418 Å).
Intensities are scaled so that the largest is 100.

The 10 most intense peaks (5 to 70 degrees two-theta), most intense first:
two_theta, I (rel.)
30.48, 100
28.76, 84
29.26, 53
33.91, 41
21.33, 26
28.33, 24
33.68, 23
46.16, 22
30.68, 21
48.12, 19

Structural model:
Cell lengths 5.4656, 7.6797, 8.8965 Å; angles 108.05, 95.49, 102.21 degrees
Space group P-1 (No. 2)
Unique sites:
Mn 0.0521 0.2878 0.4739 [2 per cell]
Cu 0.2318 0.8945 0.0047 [2 per cell]
Cu 0.2584 0.5235 0.1104 [2 per cell]
Cu 0.5000 0.0000 0.5000 [1 per cell]
P 0.1689 0.1592 0.7660 [2 per cell]
P 0.5005 0.2842 0.2997 [2 per cell]
H 0.1510 0.5660 0.8353 [2 per cell]
O 0.0108 0.7438 0.3039 [2 per cell]
O 0.0331 0.0518 0.8701 [2 per cell]
O 0.1036 0.6217 0.9411 [2 per cell]
O 0.2209 0.5975 0.6282 [2 per cell]
O 0.2275 0.9979 0.6260 [2 per cell]
O 0.3236 0.4096 0.2780 [2 per cell]
O 0.3862 0.1902 0.4198 [2 per cell]
O 0.4141 0.3043 0.8697 [2 per cell]
O 0.4946 0.8703 0.8618 [2 per cell]